Starting from DFT lattice parameters and positions (GGA-PBE), the X-ray diffraction stick pattern of NpP2IrPd2 was simulated for Cu Kα (weighted mean of Kα1 and Kα2).
Peak positions follow from Bragg's law for the DFT cell and can differ from measured ones.

Structure:
Lattice parameters (Å, degrees): 4.0324 6.7395 7.4448 90.00 90.00 90.00
Space group Pmc2_1 (No. 26)
Unique sites:
Np (0.0000, 0.0667, 0.0000) x2
P (0.0000, 0.3392, 0.3420) x2
P (0.5000, 0.1483, 0.7185) x2
Ir (0.5000, 0.1936, 0.2767) x2
Pd (0.0000, 0.3784, 0.6571) x2
Pd (0.5000, 0.4215, 0.9400) x2

The 8 most intense peaks (15 to 90 degrees two-theta), in order of falling intensity:
- 2.534 Å, 2θ = 35.42°, intensity 100, hkl 1 1 2
- 2.443 Å, 2θ = 36.80°, intensity 70, hkl 1 2 1
- 2.016 Å, 2θ = 44.96°, intensity 48, hkl 2 0 0
- 2.735 Å, 2θ = 32.74°, intensity 48, hkl 1 0 2
- 2.498 Å, 2θ = 35.95°, intensity 34, hkl 0 2 2
- 2.329 Å, 2θ = 38.66°, intensity 31, hkl 0 1 3
- 3.138 Å, 2θ = 28.44°, intensity 31, hkl 1 1 1
- 3.070 Å, 2θ = 29.09°, intensity 27, hkl 0 2 1

=====

Starting from DFT lattice parameters and positions (GGA-PBE), the X-ray diffraction stick pattern of Rb2P2Cl was simulated for Cu Kα (weighted mean of Kα1 and Kα2).
Peak positions follow from Bragg's law for the DFT cell and can differ from measured ones.

Structure:
Lattice parameters (Å, degrees): 8.9551 8.9551 4.3640 90.00 90.00 90.00
Space group P4/mbm (No. 127)
Unique sites:
Rb (0.2100, 0.2900, 0.0000) x4
P (0.0780, 0.5780, 0.5000) x4
Cl (0.0000, 0.0000, 0.5000) x2

The 8 most intense peaks (15 to 90 degrees two-theta), in order of falling intensity:
- 3.125 Å, 2θ = 28.56°, intensity 100, hkl 2 0 1
- 2.951 Å, 2θ = 30.29°, intensity 38, hkl 2 1 1
- 3.166 Å, 2θ = 28.19°, intensity 37, hkl 2 2 0
- 2.172 Å, 2θ = 41.58°, intensity 20, hkl 4 1 0
- 1.657 Å, 2θ = 55.46°, intensity 15, hkl 4 3 1
- 4.478 Å, 2θ = 19.83°, intensity 14, hkl 2 0 0
- 1.944 Å, 2θ = 46.72°, intensity 13, hkl 4 1 1
- 1.797 Å, 2θ = 50.82°, intensity 13, hkl 2 2 2